[1]
BiOF: simulated X-ray powder pattern (λ = 1.5418 Å (Cu Kα)), based on a structure optimized by DFT (PBE).
Neutral-atom scattering factors, no anomalous dispersion.

Lattice parameters (Å, degrees): 8.240 8.240 8.240 27.95 27.95 27.95
Fractional positions:
Bi  0.104  0.104  0.104
Bi  0.896  0.896  0.896
O  0.199  0.199  0.199
O  0.801  0.801  0.801
F  0.396  0.396  0.396
F  0.604  0.604  0.604

Top 6 peaks for 10 to 90 degrees two-theta, low angle first:
2θ 11.18, I = 65
2θ 26.12, I = 89
2θ 29.98, I = 100
2θ 32.09, I = 64
2θ 45.58, I = 51
2θ 46.44, I = 45

***

[2]
LiAg2F4: simulated X-ray powder pattern (λ = 1.5418 Å (Cu Kα)), based on a structure optimized by DFT (PBE).
Neutral-atom scattering factors, no anomalous dispersion.

Lattice parameters (Å, degrees): 6.186 6.186 6.186 130.31 130.31 72.92
Fractional positions:
Li  0.000  0.000  0.000
Ag  0.250  0.750  0.500
Ag  0.500  0.500  0.000
F  0.180  0.725  0.076
F  0.275  0.352  0.455
F  0.648  0.104  0.924
F  0.896  0.820  0.545

Top 6 peaks for 10 to 90 degrees two-theta, low angle first:
2θ 19.26, I = 100
2θ 30.23, I = 76
2θ 32.01, I = 24
2θ 39.82, I = 32
2θ 50.80, I = 21
2θ 59.19, I = 21

***

[3]
DyErAl4: simulated X-ray powder pattern (λ = 1.5418 Å (Cu Kα)), based on a structure optimized by DFT (PBE).
Neutral-atom scattering factors, no anomalous dispersion.

Lattice parameters (Å, degrees): 5.544 5.544 5.544 60.00 60.00 60.00
Fractional positions:
Dy  0.000  0.000  0.000
Er  0.250  0.250  0.250
Al  0.125  0.625  0.625
Al  0.625  0.125  0.625
Al  0.625  0.625  0.125
Al  0.625  0.625  0.625

Top 6 peaks for 10 to 90 degrees two-theta, low angle first:
2θ 19.61, I = 64
2θ 32.29, I = 100
2θ 38.06, I = 98
2θ 57.59, I = 39
2θ 61.45, I = 32
2θ 67.58, I = 21